Diffraction record for AgH6IrPd2. The XRD peak list is simulated, not measured: it uses DFT lattice parameters and positions (GGA-PBE) and a wavelength of 1.5418 Å.
Peak positions follow from Bragg's law for the DFT cell and can differ from measured ones.

Main lines, sorted by position (10° ≤ 2θ ≤ 90°):
index, Position (°2θ), d/Å, Rel. int.
1 1 0, 30.05, 2.974, 11.3
1 1 1, 35.09, 2.557, 100.0
1 1 -3, 35.20, 2.550, 99.2
0 2 0, 38.60, 2.333, 28.6
0 0 4, 41.87, 2.157, 64.9
0 2 4, 58.25, 1.584, 34.9
2 0 2, 60.56, 1.529, 11.7
1 3 1, 67.62, 1.386, 15.4
1 1 5, 72.03, 1.311, 23.8
1 1 -7, 72.22, 1.308, 23.2

Crystal structure
```
data_AgH6IrPd2
_space_group_name_H-M_alt 'P 1 21/c 1'
_space_group_IT_number 14
_cell_length_a 4.314
_cell_length_b 4.665
_cell_length_c 9.634
_cell_angle_alpha 90.00
_cell_angle_beta 116.36
_cell_angle_gamma 90.00
loop_
_space_group_symop_operation_xyz
'x,y,z'
'-x,-y,-z'
'-x,y+1/2,-z+1/2'
'x,-y+1/2,z+1/2'
loop_
_atom_site_label
_atom_site_type_symbol
_atom_site_fract_x
_atom_site_fract_y
_atom_site_fract_z
Ag1 Ag 0.000 0.000 0.000
H1 H 0.124 0.157 0.351
H2 H 0.360 0.689 0.120
H3 H 0.489 0.228 0.123
Ir1 Ir 0.500 0.000 0.500
Pd1 Pd 0.261 0.074 0.747
```